Theoretical X-ray powder pattern of Pr14HoMg for Cu Kα X-rays, from a crystal structure in Alexandria, relaxed with GGA-PBE.
Neutral-atom scattering factors, no anomalous dispersion.

Top 6 peaks for 2θ = 10–80°, most intense first:
two_theta  Rel. int.
29.8  1000
34.6  336
59.1  287
49.6  242
34.4  170
58.8  144

Cell and atoms:
abc: 10.4282 10.3649 10.3649
angles: 90.00 90.00 90.00
Space group Amm2 (No. 38)
Asymmetric unit:
Pr1 0.0000 0.0000 0.9999
Pr2 0.0000 0.0000 0.5000
Pr3 0.0000 0.2494 0.2499
Pr4 0.2533 0.0000 0.7504
Pr5 0.2544 0.0000 0.2496
Pr6 0.2539 0.2497 0.0000
Pr7 0.5000 0.2493 0.7504
Ho1 0.5000 0.0000 0.5001
Mg1 0.5000 0.0000 0.0001